Diffraction record for Nd4PtSeCl2. The PXRD pattern is computed, not measured: it uses a GGA-PBE-relaxed structure and Cu Kα, 1.54184 Å.
Lines closer than 0.1° are merged.

Principal peaks in the range 2θ from 10° to 90°, low angle first:
Position (°2θ)	intensity
12.90	29.7
29.73	52.2
29.98	100.0
42.08	57.4
43.34	35.4
43.76	18.1
53.79	19.5
62.29	11.1

Crystal structure
a b c (Å): 7.2539 4.1377 7.5348
angles (deg): 90.00 108.88 90.00
Positions (direct):
1 Nd 0.2262 0.0000 0.2267
2 Nd 0.2357 0.5000 0.7490
3 Nd 0.7643 0.5000 0.2510
4 Nd 0.7738 0.0000 0.7733
5 Pt 0.0000 0.5000 0.0000
6 Se 0.0000 0.0000 0.5000
7 Cl 0.5000 0.0000 0.0000
8 Cl 0.5000 0.5000 0.5000

Diffraction record for Nd3PtSeCl. The PXRD pattern is computed, not measured: it uses a GGA-PBE-relaxed structure and Cu Kα, 1.54184 Å.
Lines closer than 0.1° are merged.

Principal peaks in the range 2θ from 10° to 90°, low angle first:
Position (°2θ)	intensity
23.88	20.2
28.83	33.8
30.43	100.0
33.02	15.2
35.81	30.8
42.75	17.3
43.24	20.7
47.17	15.5

Crystal structure
a b c (Å): 8.4608 4.1843 9.5193
angles (deg): 90.00 102.55 90.00
Positions (direct):
1 Nd 0.0682 0.2500 0.3359
2 Nd 0.2243 0.2500 0.9880
3 Nd 0.3942 0.7500 0.6095
4 Nd 0.6058 0.2500 0.3905
5 Nd 0.7757 0.7500 0.0120
6 Nd 0.9318 0.7500 0.6641
7 Pt 0.1660 0.2500 0.6524
8 Pt 0.8340 0.7500 0.3476
9 Se 0.3153 0.7500 0.2618
10 Se 0.6847 0.2500 0.7382
11 Cl 0.4077 0.7500 0.9006
12 Cl 0.5923 0.2500 0.0994

Diffraction record for NdThPtCl. The PXRD pattern is computed, not measured: it uses a GGA-PBE-relaxed structure and Cu Kα, 1.54184 Å.
Lines closer than 0.1° are merged.

Principal peaks in the range 2θ from 10° to 90°, low angle first:
Position (°2θ)	intensity
11.63	68.5
25.88	48.4
31.58	100.0
37.14	26.3
43.40	44.5
47.09	29.2
54.66	21.5
72.24	18.9

Crystal structure
a b c (Å): 7.9834 7.9834 7.9834
angles (deg): 30.28 30.28 30.28
Positions (direct):
1 Nd 0.0000 0.0000 0.0000
2 Th 0.1939 0.1939 0.1939
3 Pt 0.5923 0.5923 0.5923
4 Cl 0.7647 0.7647 0.7647